1.
Diffraction record for MnAlPt2. The XRD peak list is calculated, not measured: it uses a crystal structure in the Materials Project, relaxed with PBE and Cu Ka.
Intensities are scaled so that the largest is 100.

Largest 8 diffraction maxima, by angle, 2θ = 15–90°:
2θ 24.86, I = 1.0
2θ 28.79, I = 53.0
2θ 41.17, I = 100.0
2θ 51.01, I = 15.4
2θ 59.63, I = 16.8
2θ 67.54, I = 20.4
2θ 75.02, I = 34.2
2θ 89.36, I = 11.4

Crystal structure
```
data_MnAlPt2
_space_group_name_H-M_alt 'P 1'
_space_group_IT_number 1
_space_group_name_Hall 'P 1'
_cell_length_a 4.386
_cell_length_b 4.386
_cell_length_c 4.386
_cell_angle_alpha 60.00
_cell_angle_beta 60.00
_cell_angle_gamma 60.00
loop_
_atom_site_label
_atom_site_type_symbol
_atom_site_fract_x
_atom_site_fract_y
_atom_site_fract_z
Mn1 Mn 0.000 0.000 0.000
Al1 Al 0.500 0.500 0.500
Pt1 Pt 0.250 0.250 0.250
Pt2 Pt 0.750 0.750 0.750
```

=====

2.
Diffraction record for Nb6SnGe. The XRD peak list is calculated, not measured: it uses a crystal structure in the Materials Project, relaxed with PBE and Cu Ka.
Intensities are scaled so that the largest is 100.

Largest 10 diffraction maxima, by angle, 2θ = 15–90°:
2θ 34.11, I = 35.6
2θ 38.28, I = 100.0
2θ 42.10, I = 78.4
2θ 61.05, I = 7.5
2θ 63.83, I = 22.1
2θ 66.55, I = 40.3
2θ 71.82, I = 15.3
2θ 81.95, I = 11.2
2θ 84.43, I = 19.1
2θ 86.90, I = 9.9

Crystal structure
```
data_Nb6SnGe
_space_group_name_H-M_alt 'P 1'
_space_group_IT_number 1
_space_group_name_Hall 'P 1'
_cell_length_a 5.258
_cell_length_b 5.258
_cell_length_c 5.258
_cell_angle_alpha 90.00
_cell_angle_beta 90.00
_cell_angle_gamma 90.00
loop_
_atom_site_label
_atom_site_type_symbol
_atom_site_fract_x
_atom_site_fract_y
_atom_site_fract_z
Nb1 Nb 0.000 0.242 0.500
Nb2 Nb 0.000 0.758 0.500
Nb3 Nb 0.242 0.500 0.000
Nb4 Nb 0.500 0.000 0.242
Nb5 Nb 0.500 0.000 0.758
Nb6 Nb 0.758 0.500 0.000
Sn1 Sn 0.500 0.500 0.500
Ge1 Ge 0.000 0.000 0.000
```